Starting from a cell relaxed with GGA-PBE, the X-ray diffraction stick pattern of Dy4C2F was computed for Cu Kα X-rays.
Neutral-atom scattering factors, no anomalous dispersion.

Principal peaks in the range 2θ = 15–90°, in order of falling intensity:
2θ/deg, I_rel, hkl
30.51, 100.0, 1 1 -1
35.03, 86.3, 1 1 1
30.26, 50.4, 2 0 0
50.84, 46.9, 0 2 0
29.97, 46.5, 0 0 2
35.35, 42.9, 2 0 -2
50.44, 26.5, 1 1 -3
60.49, 21.2, 4 0 -2
63.50, 15.3, 2 2 -2
60.37, 14.8, 2 2 0
60.20, 13.5, 0 2 2
59.76, 13.3, 3 1 1

Cell and atoms:
```
Dy4C2F
1.0
6.2288 0.0000 0.0000
0.0000 3.5880 0.0000
-1.9915 0.0000 5.9636
Dy C F
4 2 1
direct
0.2366 0.0000 0.2221
0.2597 0.5000 0.7767
0.7403 0.5000 0.2233
0.7634 0.0000 0.7779
0.0000 0.5000 0.0000
0.5000 0.0000 0.0000
0.5000 0.5000 0.5000
```

=====

Starting from a cell relaxed with GGA-PBE, the X-ray diffraction stick pattern of Sc12Tl3Cd was computed for Cu Kα X-rays.
Neutral-atom scattering factors, no anomalous dispersion.

Principal peaks in the range 2θ = 15–90°, in order of falling intensity:
2θ/deg, I_rel, hkl
34.33, 100.0, 1 1 4
19.62, 52.4, 1 0 0
39.85, 49.2, 2 0 0
27.89, 45.9, 1 1 0
68.82, 36.9, 3 1 4
57.62, 32.0, 2 2 0
44.79, 26.8, 2 1 0
49.34, 20.5, 2 1 4
61.48, 13.6, 3 0 0
79.22, 10.9, 3 2 4
72.35, 10.6, 2 2 8
65.21, 9.2, 3 1 0

Cell and atoms:
```
Sc12Tl3Cd
1.0
4.5236 0.0000 0.0000
0.0000 4.5236 0.0000
0.0000 0.0000 18.1055
Sc Tl Cd
12 3 1
direct
0.0000 0.0000 0.0000
0.0000 0.0000 0.2495
0.0000 0.0000 0.5000
0.0000 0.0000 0.7505
0.0000 0.5000 0.1239
0.0000 0.5000 0.3748
0.0000 0.5000 0.6252
0.0000 0.5000 0.8761
0.5000 0.0000 0.1239
0.5000 0.0000 0.3748
0.5000 0.0000 0.6252
0.5000 0.0000 0.8761
0.5000 0.5000 0.2491
0.5000 0.5000 0.5000
0.5000 0.5000 0.7509
0.5000 0.5000 0.0000
```

=====

Starting from a cell relaxed with GGA-PBE, the X-ray diffraction stick pattern of Li4I3Cl was computed for Cu Kα X-rays.
Neutral-atom scattering factors, no anomalous dispersion.

Principal peaks in the range 2θ = 15–90°, in order of falling intensity:
2θ/deg, I_rel, hkl
26.51, 100.0, 2 1 1
26.36, 52.2, 0 2 1
24.95, 42.5, 0 0 2
23.34, 28.4, 2 1 0
48.43, 26.5, 2 3 2
44.91, 26.3, 2 1 3
40.81, 24.3, 2 3 0
34.43, 18.6, 2 1 2
49.51, 17.9, 4 2 1
44.81, 15.2, 0 2 3
48.70, 13.2, 4 0 2
23.17, 13.1, 0 2 0

Cell and atoms:
```
Li4I3Cl
1.0
8.7806 0.0000 0.0000
0.0000 7.6770 0.0000
0.0000 0.0000 7.1379
Li I Cl
8 6 2
direct
0.0000 0.1282 0.0000
0.0000 0.8279 0.5532
0.2271 0.6809 0.9986
0.2729 0.3191 0.4986
0.5000 0.1721 0.0532
0.5000 0.8718 0.5000
0.7271 0.3191 0.4986
0.7729 0.6809 0.9986
0.0000 0.1564 0.3909
0.2487 0.3311 0.8899
0.2513 0.6689 0.3899
0.5000 0.8436 0.8909
0.7487 0.6689 0.3899
0.7513 0.3311 0.8899
0.0000 0.8298 0.8907
0.5000 0.1702 0.3907
```